For InCuTe2, a PBE-relaxed structure gives the simulated XRD peak list in this record (a wavelength of 1.5418 Å).
Lines closer than 0.1° are merged.

Main lines, low angle first (15 to 90 degrees two-theta):
Position (°2θ)	I_rel
24.46	100.0
40.48	73.9
47.86	44.7
64.43	16.5
73.59	15.5
78.87	9.9

Structural model:
Lattice parameters (Å, degrees): 4.4605 4.4605 6.2929 90.00 90.00 90.00
Positions (direct):
In 0.0000 0.0000 0.0000
Cu 0.5000 0.5000 0.5000
Te 0.0000 0.5000 0.2838
Te 0.5000 0.0000 0.7162

For Ba2LuBiO6, a PBE-relaxed structure gives the simulated XRD peak list in this record (a wavelength of 1.5418 Å).
Lines closer than 0.1° are merged.

Main lines, low angle first (15 to 90 degrees two-theta):
Position (°2θ)	I_rel
29.32	100.0
41.94	27.9
52.00	42.0
60.82	18.0
68.93	18.5
84.07	22.5

Structural model:
Lattice parameters (Å, degrees): 6.0905 6.0905 6.0905 60.04 60.04 60.04
Positions (direct):
Ba 0.2492 0.2492 0.2492
Ba 0.7508 0.7508 0.7508
Lu 0.5000 0.5000 0.5000
Bi 0.0000 0.0000 0.0000
O 0.2301 0.2645 0.7536
O 0.2464 0.7699 0.7355
O 0.2645 0.7536 0.2301
O 0.7355 0.2464 0.7699
O 0.7536 0.2301 0.2645
O 0.7699 0.7355 0.2464

For Li2CuP4O12, a PBE-relaxed structure gives the simulated XRD peak list in this record (a wavelength of 1.5418 Å).
Lines closer than 0.1° are merged.

Main lines, low angle first (15 to 90 degrees two-theta):
Position (°2θ)	I_rel
19.21	19.5
26.99	100.0
27.74	31.4
27.84	31.8
32.41	30.3
32.78	30.3

Structural model:
Lattice parameters (Å, degrees): 4.9251 7.1218 7.5852 109.68 98.08 110.16
Positions (direct):
Li 0.2474 0.2376 0.4456
Li 0.7526 0.7624 0.5544
Cu 0.0000 0.0000 0.0000
P 0.1590 0.5964 0.7835
P 0.3673 0.8105 0.2141
P 0.6327 0.1895 0.7859
P 0.8410 0.4036 0.2165
O 0.0221 0.7595 0.7911
O 0.0968 0.6277 0.2383
O 0.2603 0.9852 0.2071
O 0.3160 0.5436 0.6327
O 0.3431 0.1181 0.6398
O 0.3906 0.6841 0.9979
O 0.6094 0.3159 0.0021
O 0.6569 0.8819 0.3602
O 0.6840 0.4564 0.3673
O 0.7397 0.0148 0.7929
O 0.9032 0.3723 0.7617
O 0.9779 0.2405 0.2089